Computed PXRD pattern of LiLa2NpS5 for a wavelength of 1.5418 Å, from a structure optimized by DFT (PBE).
No peak broadening, texture or thermal motion is included.

Structure:
a = 4.0598 Å, b = 16.6665 Å, c = 11.9837 Å
α = 90.00°, β = 90.00°, γ = 90.00°
Space group Cmc2_1 (No. 36)
Symmetry-distinct sites (fractional):
Li: 0.0000 0.0171 0.0000
La: 0.0000 0.3748 0.8235
La: 0.0000 0.3907 0.2091
Np: 0.0000 0.3007 0.5278
S: 0.0000 0.0009 0.3028
S: 0.0000 0.1362 0.5232
S: 0.0000 0.1915 0.8740
S: 0.0000 0.2108 0.1819
S: 0.0000 0.4529 0.5880

Largest 10 diffraction maxima, most intense first, 2θ from 10° to 90°:
- 2θ 31.88, I = 100, (1 1 3)
- 2θ 38.02, I = 61, (1 5 2)
- 2θ 22.57, I = 58, (0 4 1)
- 2θ 24.72, I = 41, (0 2 3)
- 2θ 18.24, I = 34, (0 2 2)
- 2θ 33.10, I = 33, (0 6 1)
- 2θ 10.62, I = 32, (0 2 0)
- 2θ 27.21, I = 28, (1 3 0)
- 2θ 23.75, I = 22, (1 1 1)
- 2θ 46.76, I = 20, (1 7 2)

Computed PXRD pattern of PrCd10Ag2 for a wavelength of 1.5418 Å, from a structure optimized by DFT (PBE).
No peak broadening, texture or thermal motion is included.

Structure:
a = 5.7927 Å, b = 7.6148 Å, c = 7.6335 Å
α = 81.97°, β = 68.22°, γ = 68.13°
Space group P-1 (No. 2)
Symmetry-distinct sites (fractional):
Pr: 0.0000 0.0000 0.0000
Cd: 0.0000 0.0000 0.5000
Cd: 0.0079 0.6433 0.3427
Cd: 0.2852 0.2174 0.2098
Cd: 0.3497 0.6434 0.6573
Cd: 0.4960 0.2175 0.7902
Cd: 0.5000 0.0000 0.5000
Ag: 0.0000 0.5000 0.0000
Ag: 0.5000 0.5000 0.0000

Largest 10 diffraction maxima, most intense first, 2θ from 10° to 90°:
- 2θ 35.88, I = 100, (0 2 2)
- 2θ 35.79, I = 71, (2 2 0)
- 2θ 35.99, I = 68, (2 2 2)
- 2θ 40.37, I = 52, (2 1 3)
- 2θ 30.92, I = 50, (2 1 1)
- 2θ 40.06, I = 49, (2 1 -1)
- 2θ 35.64, I = 38, (2 0 0)
- 2θ 40.25, I = 31, (0 1 3)
- 2θ 64.52, I = 29, (2 4 -2)
- 2θ 40.44, I = 23, (2 3 1)

Computed PXRD pattern of Pm3Pr2Tl6 for a wavelength of 1.5418 Å, from a structure optimized by DFT (PBE).
No peak broadening, texture or thermal motion is included.

Structure:
a = 6.0519 Å, b = 6.0519 Å, c = 22.9296 Å
α = 90.00°, β = 90.00°, γ = 90.00°
Space group I4/mmm (No. 139)
Symmetry-distinct sites (fractional):
Pm: 0.0000 0.0000 0.0000
Pm: 0.0000 0.0000 0.1407
Pr: 0.0000 0.0000 0.4200
Tl: 0.0000 0.0000 0.2792
Tl: 0.0000 0.5000 0.0692

Largest 10 diffraction maxima, most intense first, 2θ from 10° to 90°:
- 2θ 29.52, I = 100, (2 0 0)
- 2θ 31.04, I = 56, (1 0 7)
- 2θ 43.37, I = 45, (2 1 7)
- 2θ 22.17, I = 45, (1 1 2)
- 2θ 42.24, I = 38, (2 2 0)
- 2θ 37.78, I = 26, (1 1 8)
- 2θ 37.93, I = 20, (2 0 6)
- 2θ 69.46, I = 19, (4 2 0)
- 2θ 64.72, I = 18, (2 0 14)
- 2θ 23.28, I = 17, (0 0 6)